This entry pairs a crystal structure of Ba2Be2NiO6 with its computed powder diffraction line list. Radiation: Cu Ka. Structure: a structure optimized by DFT (GGA+U).
Neutral-atom scattering factors, no anomalous dispersion.

Most intense lines, 10 to 90 degrees two-theta, most intense first:
2θ (°)	d_spacing	I/Imax
32.55	2.751	100.0
33.61	2.666	78.8
29.06	3.073	74.3
21.68	4.099	58.2
44.19	2.050	56.1
39.45	2.284	46.8
61.91	1.499	36.0
19.43	4.568	34.9

Structure:
```
11
Lattice="2.7506 1.5881 5.3622 -2.7506 1.5881 5.3622 0.0000 -3.1762 5.3622" Properties=species:S:1:pos:R:3 pbc="T T T"
Ba 0.0000 0.0000 3.5928
Ba 0.0000 0.0000 12.4937
Be 0.0000 0.0000 6.5578
Be 0.0000 0.0000 9.5288
Ni 0.0000 0.0000 0.0000
O 0.0000 -1.5496 6.5730
O -1.3420 0.7748 6.5730
O -1.3420 -0.7748 9.5135
O 1.3420 0.7748 6.5731
O 1.3420 -0.7748 9.5135
O 0.0000 1.5496 9.5135
```